No. 1
# DyY3O6
Theoretical X-ray powder pattern, Cu Ka. Input: the GGA-PBE geometry in Alexandria.

Peak list (10 most intense, 10 to 80 degrees two-theta, by angle)
Position (°2θ)	I (rel.)
20.34	15
28.92	100
33.52	29
35.61	7
43.13	11
48.13	41
52.76	7
57.13	30
58.53	7
77.87	8

Structure:
```
DyY3O6
1.0
7.5621 -5.3480 0.0000
7.5621 5.3480 0.0000
-7.5602 0.0000 7.5620
Dy Y O
4 12 24
Direct
0.0000 0.0000 0.0000
0.5003 0.4997 0.0000
0.7501 0.1846 0.2173
0.8154 0.2499 0.7827
0.0324 0.4671 0.2498
0.0329 0.4673 0.7501
0.0652 0.9348 0.5000
0.2502 0.6847 0.7175
0.2827 0.2173 0.4674
0.2827 0.2173 0.9675
0.3153 0.7498 0.2825
0.5327 0.9671 0.2499
0.5329 0.9676 0.7502
0.5655 0.4345 0.5000
0.7827 0.7173 0.0325
0.7827 0.7173 0.5326
0.0010 0.2388 0.2610
0.0210 0.1965 0.7076
0.0439 0.7383 0.7930
0.0641 0.6953 0.2386
0.0748 0.2273 0.0215
0.2613 0.4985 0.0208
0.2617 0.9561 0.2070
0.2728 0.4248 0.7194
0.2934 0.0100 0.5219
0.3035 0.4784 0.4892
0.3047 0.9359 0.7614
0.4904 0.2066 0.2186
0.5015 0.7387 0.9792
0.5216 0.6965 0.5108
0.5446 0.2383 0.9901
0.5646 0.1951 0.5211
0.5752 0.7272 0.2806
0.7612 0.9990 0.7390
0.7617 0.4554 0.0099
0.7727 0.9252 0.9785
0.7934 0.5096 0.7814
0.8035 0.9790 0.2924
0.8049 0.4354 0.4789
0.9900 0.7066 0.4781
```

***

No. 2
# Dy2Zr2O7
Theoretical X-ray powder pattern, Cu Ka. Input: the GGA-PBE geometry in Alexandria.

Peak list (10 most intense, 10 to 80 degrees two-theta, by angle)
Position (°2θ)	I (rel.)
26.06	29
27.99	30
29.51	100
30.73	35
32.26	38
32.37	66
42.00	18
46.09	34
46.94	14
57.44	21

Structure:
```
Dy2Zr2O7
1.0
7.8776 0.0000 0.0000
0.0000 5.5345 0.0000
-2.0426 0.0000 13.6789
Dy Zr O
8 8 28
Direct
0.1332 0.0000 0.0591
0.2388 0.4575 0.4288
0.2871 0.9209 0.6338
0.3637 0.4362 0.8994
0.6363 0.9362 0.1006
0.7129 0.4209 0.3662
0.7612 0.9575 0.5712
0.8668 0.5000 0.9409
0.0261 0.4408 0.6186
0.0754 0.9422 0.8196
0.4100 0.4528 0.1726
0.4674 0.9429 0.3732
0.5326 0.4429 0.6268
0.5900 0.9528 0.8274
0.9246 0.4422 0.1804
0.9739 0.9408 0.3814
0.0074 0.5996 0.3249
0.0754 0.7290 0.5217
0.0788 0.2265 0.9186
0.1378 0.6469 0.7288
0.1557 0.7196 0.9344
0.1685 0.3108 0.1716
0.2228 0.0637 0.3842
0.2717 0.3120 0.5854
0.3238 0.0831 0.7984
0.3636 0.7898 0.1231
0.4151 0.5914 0.3271
0.4270 0.2556 0.0472
0.4400 0.7231 0.5246
0.4745 0.6519 0.7352
0.5255 0.1519 0.2648
0.5600 0.2231 0.4754
0.5730 0.7556 0.9528
0.5849 0.0914 0.6729
0.6364 0.2898 0.8769
0.6762 0.5831 0.2016
0.7283 0.8120 0.4146
0.7772 0.5637 0.6158
0.8315 0.8108 0.8284
0.8443 0.2196 0.0656
0.8622 0.1469 0.2712
0.9212 0.7265 0.0814
0.9246 0.2290 0.4783
0.9926 0.0996 0.6751
```

***

No. 3
# Dy2Zr2O7
Theoretical X-ray powder pattern, Cu Ka. Input: the GGA-PBE geometry in Alexandria.

Peak list (10 most intense, 10 to 80 degrees two-theta, by angle)
Position (°2θ)	I (rel.)
13.98	41
25.33	72
28.18	100
30.75	66
32.38	39
44.66	24
45.25	29
49.83	36
56.75	24
58.25	35

Structure:
```
Dy2Zr2O7
1.0
7.3198 0.0000 0.0000
0.0000 7.3198 0.0000
0.0000 0.0000 12.6590
Dy Zr O
8 8 28
Direct
0.1231 0.3612 0.3843
0.1388 0.6231 0.6343
0.3612 0.1231 0.6157
0.3769 0.8612 0.8657
0.6231 0.1388 0.3657
0.6388 0.8769 0.1157
0.8612 0.3769 0.1343
0.8769 0.6388 0.8843
0.1016 0.8727 0.0951
0.1273 0.8984 0.4049
0.3727 0.3984 0.8451
0.3984 0.3727 0.1549
0.6016 0.6273 0.6549
0.6273 0.6016 0.3451
0.8727 0.1016 0.9049
0.8984 0.1273 0.5951
0.0726 0.9080 0.9140
0.0845 0.3247 0.5732
0.0920 0.9274 0.5860
0.1354 0.3520 0.2048
0.1480 0.6354 0.4548
0.1493 0.8507 0.2500
0.1753 0.5845 0.8232
0.3247 0.0845 0.4268
0.3507 0.3507 0.0000
0.3520 0.1354 0.7952
0.3646 0.8520 0.0452
0.4080 0.4274 0.6640
0.4155 0.8247 0.6768
0.4274 0.4080 0.3360
0.5726 0.5920 0.8360
0.5845 0.1753 0.1768
0.5920 0.5726 0.1640
0.6354 0.1480 0.5452
0.6480 0.8646 0.2952
0.6493 0.6493 0.5000
0.6753 0.9155 0.9268
0.8247 0.4155 0.3232
0.8507 0.1493 0.7500
0.8520 0.3646 0.9548
0.8646 0.6480 0.7048
0.9080 0.0726 0.0860
0.9155 0.6753 0.0732
0.9274 0.0920 0.4140
```

***

No. 4
# Dy2Zr2O7
Theoretical X-ray powder pattern, Cu Ka. Input: the GGA-PBE geometry in Alexandria.

Peak list (10 most intense, 10 to 80 degrees two-theta, by angle)
Position (°2θ)	I (rel.)
25.07	13
29.02	100
29.90	94
33.66	18
34.39	40
48.29	17
48.89	62
50.55	16
57.85	39
59.35	28

Structure:
```
Dy2Zr2O7
1.0
7.5392 0.0000 0.0000
0.0000 3.6109 0.0000
0.0000 0.0000 10.6494
Dy Zr O
4 4 14
Direct
0.0000 0.0000 0.0000
0.2500 0.5000 0.2747
0.5000 0.0000 0.0000
0.7500 0.5000 0.7253
0.0000 0.0000 0.5000
0.2500 0.5000 0.7449
0.5000 0.0000 0.5000
0.7500 0.5000 0.2551
0.0195 0.5000 0.6188
0.0426 0.5000 0.1299
0.2500 0.0000 0.3897
0.2500 0.0000 0.6327
0.2500 0.0000 0.8797
0.4574 0.5000 0.1299
0.4805 0.5000 0.6188
0.5195 0.5000 0.3812
0.5426 0.5000 0.8701
0.7500 0.0000 0.1203
0.7500 0.0000 0.3673
0.7500 0.0000 0.6103
0.9574 0.5000 0.8701
0.9805 0.5000 0.3812
```

***

No. 5
# DyOs6
Theoretical X-ray powder pattern, Cu Ka. Input: the GGA-PBE geometry in Alexandria.

Peak list (10 most intense, 10 to 80 degrees two-theta, by angle)
Position (°2θ)	I (rel.)
18.47	31
26.23	42
32.27	100
46.29	40
50.24	59
53.98	34
60.98	16
64.31	14
76.84	17
79.86	22

Structure:
```
DyOs6
1.0
6.7946 0.0000 0.0000
0.0000 6.7946 0.0000
0.0000 0.0000 6.7946
Dy Os
2 12
Direct
0.0000 0.0000 0.0000
0.5000 0.5000 0.5000
0.0000 0.2500 0.5000
0.0000 0.5000 0.2500
0.0000 0.5000 0.7500
0.0000 0.7500 0.5000
0.2500 0.0000 0.5000
0.2500 0.5000 0.0000
0.5000 0.0000 0.2500
0.5000 0.0000 0.7500
0.5000 0.2500 0.0000
0.5000 0.7500 0.0000
0.7500 0.0000 0.5000
0.7500 0.5000 0.0000
```

***

No. 6
# DyP12Os4
Theoretical X-ray powder pattern, Cu Ka. Input: the GGA-PBE geometry in Alexandria.

Peak list (10 most intense, 10 to 80 degrees two-theta, by angle)
Position (°2θ)	I (rel.)
21.94	43
31.22	100
35.02	18
38.49	17
41.71	13
44.74	17
50.36	35
55.56	50
65.12	11
73.99	21

Structure:
```
DyP12Os4
1.0
-4.0515 4.0515 4.0515
4.0515 -4.0515 4.0515
4.0515 4.0515 -4.0515
Dy P Os
1 12 4
Direct
0.0000 0.0000 0.0000
0.1424 0.4988 0.3564
0.1424 0.7860 0.6436
0.2140 0.3564 0.8576
0.3564 0.1424 0.4988
0.3564 0.8576 0.2140
0.4988 0.3564 0.1424
0.5012 0.6436 0.8576
0.6436 0.1424 0.7860
0.6436 0.8576 0.5012
0.7860 0.6436 0.1424
0.8576 0.2140 0.3564
0.8576 0.5012 0.6436
0.0000 0.0000 0.5000
0.0000 0.5000 0.0000
0.5000 0.0000 0.0000
0.5000 0.5000 0.5000
```

***

Please write out number 1 again, unchanged.
# DyY3O6
Theoretical X-ray powder pattern, Cu Ka. Input: the GGA-PBE geometry in Alexandria.

Peak list (10 most intense, 10 to 80 degrees two-theta, by angle)
Position (°2θ)	I (rel.)
20.34	15
28.92	100
33.52	29
35.61	7
43.13	11
48.13	41
52.76	7
57.13	30
58.53	7
77.87	8

Structure:
```
DyY3O6
1.0
7.5621 -5.3480 0.0000
7.5621 5.3480 0.0000
-7.5602 0.0000 7.5620
Dy Y O
4 12 24
Direct
0.0000 0.0000 0.0000
0.5003 0.4997 0.0000
0.7501 0.1846 0.2173
0.8154 0.2499 0.7827
0.0324 0.4671 0.2498
0.0329 0.4673 0.7501
0.0652 0.9348 0.5000
0.2502 0.6847 0.7175
0.2827 0.2173 0.4674
0.2827 0.2173 0.9675
0.3153 0.7498 0.2825
0.5327 0.9671 0.2499
0.5329 0.9676 0.7502
0.5655 0.4345 0.5000
0.7827 0.7173 0.0325
0.7827 0.7173 0.5326
0.0010 0.2388 0.2610
0.0210 0.1965 0.7076
0.0439 0.7383 0.7930
0.0641 0.6953 0.2386
0.0748 0.2273 0.0215
0.2613 0.4985 0.0208
0.2617 0.9561 0.2070
0.2728 0.4248 0.7194
0.2934 0.0100 0.5219
0.3035 0.4784 0.4892
0.3047 0.9359 0.7614
0.4904 0.2066 0.2186
0.5015 0.7387 0.9792
0.5216 0.6965 0.5108
0.5446 0.2383 0.9901
0.5646 0.1951 0.5211
0.5752 0.7272 0.2806
0.7612 0.9990 0.7390
0.7617 0.4554 0.0099
0.7727 0.9252 0.9785
0.7934 0.5096 0.7814
0.8035 0.9790 0.2924
0.8049 0.4354 0.4789
0.9900 0.7066 0.4781
```